Entry 1:
Computed powder XRD pattern
Compound: Na2Pu2Pt15
Radiation: copper Kα
Structure: a cell relaxed with PBE
Peak positions follow from Bragg's law for the DFT cell and can differ from measured ones.

Structure:
Lattice parameters (Å, degrees): 7.084 7.084 7.084 83.25 83.25 83.25
Sites, in units of the cell vectors:
Na 0.135 0.135 0.135
Na 0.865 0.865 0.865
Pu 0.397 0.397 0.397
Pu 0.603 0.603 0.603
Pt 0.000 0.500 0.500
Pt 0.155 0.155 0.662
Pt 0.155 0.662 0.155
Pt 0.187 0.500 0.813
Pt 0.187 0.813 0.500
Pt 0.338 0.845 0.845
Pt 0.500 0.000 0.500
Pt 0.500 0.187 0.813
Pt 0.500 0.500 0.000
Pt 0.500 0.813 0.187
Pt 0.662 0.155 0.155
Pt 0.813 0.187 0.500
Pt 0.813 0.500 0.187
Pt 0.845 0.338 0.845
Pt 0.845 0.845 0.338

Main lines, in order of rising 2θ (2θ from 10° to 80°):
| Position (°2θ) | d (Å) | intensity |
| --- | --- | --- |
| 12.65 | 6.996 | 26 |
| 18.86 | 4.706 | 28 |
| 32.97 | 2.717 | 20 |
| 38.25 | 2.353 | 36 |
| 38.61 | 2.332 | 57 |
| 39.65 | 2.273 | 23 |
| 43.30 | 2.089 | 100 |
| 44.26 | 2.047 | 35 |
| 62.66 | 1.483 | 12 |
| 66.79 | 1.401 | 20 |
| 69.16 | 1.358 | 22 |
| 71.26 | 1.323 | 17 |

=====

Entry 2:
Computed powder XRD pattern
Compound: RbNaSnPt
Radiation: copper Kα
Structure: a cell relaxed with PBE
Peak positions follow from Bragg's law for the DFT cell and can differ from measured ones.

Structure:
Lattice parameters (Å, degrees): 4.695 4.695 7.213 108.98 108.98 59.90
Sites, in units of the cell vectors:
Rb 0.000 0.000 0.000
Na 0.198 0.198 0.597
Sn 0.457 0.457 0.375
Pt 0.796 0.796 0.391

Main lines, in order of rising 2θ (2θ from 10° to 80°):
| Position (°2θ) | d (Å) | intensity |
| --- | --- | --- |
| 13.24 | 6.686 | 100 |
| 22.32 | 3.983 | 25 |
| 23.62 | 3.766 | 29 |
| 26.66 | 3.343 | 31 |
| 28.27 | 3.157 | 43 |
| 31.33 | 2.855 | 51 |
| 38.37 | 2.346 | 67 |
| 40.47 | 2.229 | 13 |
| 40.76 | 2.214 | 40 |
| 47.33 | 1.920 | 40 |
| 50.34 | 1.813 | 14 |
| 56.99 | 1.616 | 29 |

=====

Entry 3:
Computed powder XRD pattern
Compound: Na2Sb2PtRh
Radiation: copper Kα
Structure: a cell relaxed with PBE
Peak positions follow from Bragg's law for the DFT cell and can differ from measured ones.

Structure:
Lattice parameters (Å, degrees): 8.207 8.207 8.207 135.13 67.42 132.47
Sites, in units of the cell vectors:
Na 0.161 0.243 0.403
Na 0.339 0.743 0.082
Na 0.661 0.257 0.918
Na 0.839 0.757 0.597
Sb 0.102 0.742 0.844
Sb 0.398 0.242 0.639
Sb 0.602 0.758 0.361
Sb 0.898 0.258 0.156
Pt 0.250 0.250 0.000
Pt 0.750 0.750 0.000
Rh 0.250 0.750 0.500
Rh 0.750 0.250 0.500

Main lines, in order of rising 2θ (2θ from 10° to 80°):
| Position (°2θ) | d (Å) | intensity |
| --- | --- | --- |
| 12.97 | 6.827 | 100 |
| 23.50 | 3.785 | 31 |
| 30.02 | 2.976 | 15 |
| 31.42 | 2.847 | 13 |
| 37.88 | 2.375 | 36 |
| 39.03 | 2.308 | 33 |
| 39.63 | 2.274 | 40 |
| 41.87 | 2.158 | 22 |
| 48.56 | 1.875 | 12 |
| 49.51 | 1.841 | 11 |
| 70.00 | 1.344 | 11 |
| 72.26 | 1.308 | 11 |

=====

Entry 4:
Computed powder XRD pattern
Compound: NaRu2Pt
Radiation: copper Kα
Structure: a cell relaxed with PBE
Peak positions follow from Bragg's law for the DFT cell and can differ from measured ones.

Structure:
Lattice parameters (Å, degrees): 4.416 4.416 4.416 60.00 60.00 60.00
Sites, in units of the cell vectors:
Na 0.000 0.000 0.000
Ru 0.250 0.250 0.250
Ru 0.750 0.750 0.750
Pt 0.500 0.500 0.500

Main lines, in order of rising 2θ (2θ from 10° to 80°):
| Position (°2θ) | d (Å) | intensity |
| --- | --- | --- |
| 24.69 | 3.606 | 39 |
| 40.87 | 2.208 | 100 |
| 48.34 | 1.883 | 20 |
| 59.18 | 1.561 | 17 |
| 65.11 | 1.433 | 8 |
| 74.42 | 1.275 | 33 |
| 79.80 | 1.202 | 6 |

=====

Entry 5:
Computed powder XRD pattern
Compound: Na2RuPt2
Radiation: copper Kα
Structure: a cell relaxed with PBE
Peak positions follow from Bragg's law for the DFT cell and can differ from measured ones.

Structure:
Lattice parameters (Å, degrees): 6.467 6.467 4.826 90.00 90.00 90.00
Sites, in units of the cell vectors:
Na 0.175 0.325 0.000
Na 0.325 0.825 0.000
Na 0.675 0.175 0.000
Na 0.825 0.675 0.000
Ru 0.000 0.000 0.500
Ru 0.500 0.500 0.500
Pt 0.139 0.639 0.500
Pt 0.361 0.139 0.500
Pt 0.639 0.861 0.500
Pt 0.861 0.361 0.500

Main lines, in order of rising 2θ (2θ from 10° to 80°):
| Position (°2θ) | d (Å) | intensity |
| --- | --- | --- |
| 18.38 | 4.826 | 100 |
| 30.92 | 2.892 | 38 |
| 36.21 | 2.481 | 82 |
| 37.26 | 2.413 | 26 |
| 44.29 | 2.045 | 25 |
| 48.33 | 1.883 | 30 |
| 49.17 | 1.853 | 22 |
| 54.58 | 1.681 | 8 |
| 59.22 | 1.560 | 21 |
| 64.76 | 1.440 | 6 |
| 66.51 | 1.406 | 14 |
| 75.14 | 1.264 | 8 |

=====

Entry 6:
Computed powder XRD pattern
Compound: NaSb3Pt3
Radiation: copper Kα
Structure: a cell relaxed with PBE
Peak positions follow from Bragg's law for the DFT cell and can differ from measured ones.

Structure:
Lattice parameters (Å, degrees): 7.381 7.381 7.381 90.00 90.00 90.00
Sites, in units of the cell vectors:
Na 0.000 0.000 0.000
Na 0.500 0.500 0.500
Sb 0.000 0.250 0.500
Sb 0.000 0.750 0.500
Sb 0.250 0.500 0.000
Sb 0.500 0.000 0.250
Sb 0.500 0.000 0.750
Sb 0.750 0.500 0.000
Pt 0.000 0.500 0.250
Pt 0.000 0.500 0.750
Pt 0.250 0.000 0.500
Pt 0.500 0.250 0.000
Pt 0.500 0.750 0.000
Pt 0.750 0.000 0.500

Main lines, in order of rising 2θ (2θ from 10° to 80°):
| Position (°2θ) | d (Å) | intensity |
| --- | --- | --- |
| 16.99 | 5.219 | 100 |
| 24.12 | 3.690 | 30 |
| 27.01 | 3.301 | 15 |
| 29.65 | 3.013 | 72 |
| 34.37 | 2.610 | 18 |
| 38.57 | 2.334 | 26 |
| 42.42 | 2.131 | 67 |
| 46.01 | 1.973 | 43 |
| 49.39 | 1.845 | 36 |
| 52.61 | 1.740 | 16 |
| 64.36 | 1.447 | 18 |
| 72.44 | 1.305 | 23 |